[1]
Structure and simulated powder X-ray diffraction pattern of CsK2Cu2Cl7 (DFT lattice parameters and positions (PBE); λ = 1.5418 Å (Cu Kα)).
Kinematic intensities with the Lorentz-polarization factor, no thermal factor.

Cell and atoms:
Cell lengths 4.956, 4.956, 25.246 Å; angles 90.00, 90.00, 90.00 degrees
Space group I4/mmm (No. 139)
Inequivalent atoms, fractional coordinates:
Cs (0.000, 0.000, 0.000) x2
K (0.000, 0.000, 0.182) x4
Cu (0.000, 0.000, 0.402) x4
Cl (0.000, 0.000, 0.307) x4
Cl (0.000, 0.000, 0.500) x2
Cl (0.000, 0.500, 0.098) x8

Top 8 peaks for 10° ≤ 2θ ≤ 90°, low angle first:
2θ (°), d_spacing, I_rel, index
25.2, 3.537, 76.5, 1 0 5
25.4, 3.505, 71.3, 1 1 0
33.3, 2.693, 54.7, 1 1 6
35.6, 2.525, 43.5, 0 0 10
36.2, 2.478, 100.0, 2 0 0
44.6, 2.030, 33.5, 2 1 5
51.7, 1.769, 54.2, 2 0 10
64.8, 1.439, 33.7, 2 2 10

[2]
Structure and simulated powder X-ray diffraction pattern of Cs2KCu2Cl6 (DFT lattice parameters and positions (PBE); λ = 1.5418 Å (Cu Kα)).
Kinematic intensities with the Lorentz-polarization factor, no thermal factor.

Cell and atoms:
Cell lengths 13.274, 7.336, 8.876 Å; angles 90.00, 116.90, 90.00 degrees
Space group C2/m (No. 12)
Inequivalent atoms, fractional coordinates:
Cs (0.205, 0.000, 0.192) x4
K (0.000, 0.000, 0.500) x2
Cu (0.052, 0.500, 0.249) x4
Cl (0.057, 0.255, 0.811) x8
Cl (0.237, 0.500, 0.369) x4

Top 8 peaks for 10° ≤ 2θ ≤ 90°, low angle first:
2θ (°), d_spacing, I_rel, index
22.5, 3.958, 42.6, 0 0 2
23.5, 3.779, 100.0, 1 1 -2
24.3, 3.668, 24.8, 0 2 0
32.0, 2.794, 20.8, 2 2 -2
33.3, 2.690, 35.2, 2 2 1
33.5, 2.677, 24.0, 3 1 -3
42.3, 2.139, 20.6, 3 3 -1
49.0, 1.860, 26.1, 6 2 -1

[3]
Structure and simulated powder X-ray diffraction pattern of CsLi2Cu2Cl6 (DFT lattice parameters and positions (PBE); λ = 1.5418 Å (Cu Kα)).
Kinematic intensities with the Lorentz-polarization factor, no thermal factor.

Cell and atoms:
Cell lengths 6.540, 7.317, 7.988 Å; angles 113.42, 93.60, 100.03 degrees
Space group P-1 (No. 2)
Inequivalent atoms, fractional coordinates:
Cs (0.000, 0.000, 0.000) x1
Li (0.031, 0.362, 0.597) x2
Cu (0.434, 0.708, 0.423) x2
Cl (0.198, 0.553, 0.176) x2
Cl (0.243, 0.123, 0.472) x2
Cl (0.246, 0.689, 0.652) x2

Top 8 peaks for 10° ≤ 2θ ≤ 90°, low angle first:
2θ (°), d_spacing, I_rel, index
17.1, 5.175, 100.0, 1 0 -1
18.9, 4.695, 39.2, 1 -1 1
19.8, 4.473, 35.1, 1 0 1
21.5, 4.140, 38.4, 1 1 0
22.6, 3.941, 32.4, 0 1 -2
24.7, 3.600, 61.7, 0 2 -1
27.8, 3.212, 78.8, 1 -2 0
39.5, 2.284, 36.8, 2 1 1

[4]
Structure and simulated powder X-ray diffraction pattern of Cs3LiCu2Cl6 (DFT lattice parameters and positions (PBE); λ = 1.5418 Å (Cu Kα)).
Kinematic intensities with the Lorentz-polarization factor, no thermal factor.

Cell and atoms:
Cell lengths 7.4672, 7.4672, 8.8557 Å; angles 90.00, 90.00, 120.00 degrees
Space group P-3m1 (No. 164)
Inequivalent atoms, fractional coordinates:
Cs (0.0000, 0.0000, 0.0000) x1
Cs (0.3333, 0.6667, 0.6715) x2
Li (0.0000, 0.0000, 0.5000) x1
Cu (0.3333, 0.6667, 0.2955) x2
Cl (0.1612, 0.3223, 0.3083) x6

Top 8 peaks for 10° ≤ 2θ ≤ 90°, low angle first:
2θ (°), d_spacing, I_rel, index
17.0, 5.223, 75.8, 1 0 1
23.8, 3.734, 100.0, 1 1 0
24.4, 3.653, 53.8, 0 1 2
29.4, 3.037, 70.9, 0 2 1
30.3, 2.952, 40.2, 0 0 3
34.3, 2.611, 65.6, 2 0 2
38.9, 2.316, 47.1, 1 1 3
48.8, 1.867, 35.6, 2 2 0

[5]
Structure and simulated powder X-ray diffraction pattern of CsLiCuCl4 (DFT lattice parameters and positions (PBE); λ = 1.5418 Å (Cu Kα)).
Kinematic intensities with the Lorentz-polarization factor, no thermal factor.

Cell and atoms:
Cell lengths 6.297, 7.029, 9.333 Å; angles 90.00, 107.06, 90.00 degrees
Space group P2_1/m (No. 11)
Inequivalent atoms, fractional coordinates:
Cs (0.232, 0.250, 0.372) x2
Li (0.393, 0.750, 0.013) x2
Cu (0.124, 0.250, 0.790) x2
Cl (0.021, 0.750, 0.019) x2
Cl (0.169, 0.750, 0.417) x2
Cl (0.372, 0.006, 0.806) x4

Top 8 peaks for 10° ≤ 2θ ≤ 90°, low angle first:
2θ (°), d_spacing, I_rel, index
19.4, 4.572, 96.8, 1 1 0
21.0, 4.226, 66.2, 1 0 -2
23.6, 3.767, 64.7, 0 1 2
25.3, 3.515, 56.4, 0 2 0
28.2, 3.167, 63.7, 1 0 2
29.4, 3.040, 100.0, 1 0 -3
29.7, 3.012, 50.6, 1 2 -1
33.2, 2.701, 90.2, 1 2 -2

[6]
Structure and simulated powder X-ray diffraction pattern of CsPrCu2Cl6 (DFT lattice parameters and positions (PBE); λ = 1.5418 Å (Cu Kα)).
Kinematic intensities with the Lorentz-polarization factor, no thermal factor.

Cell and atoms:
Cell lengths 10.305, 13.972, 8.878 Å; angles 90.00, 107.81, 90.00 degrees
Space group C2/c (No. 15)
Inequivalent atoms, fractional coordinates:
Cs (0.000, 0.142, 0.250) x4
Pr (0.000, 0.443, 0.750) x4
Cu (0.224, 0.141, 0.722) x8
Cl (0.036, 0.388, 0.072) x8
Cl (0.183, 0.285, 0.779) x8
Cl (0.216, 0.008, 0.597) x8

Top 8 peaks for 10° ≤ 2θ ≤ 90°, low angle first:
2θ (°), d_spacing, I_rel, index
11.0, 8.029, 30.3, 1 1 0
21.0, 4.223, 91.9, 0 0 2
22.0, 4.039, 100.0, 2 2 -1
26.9, 3.320, 45.2, 2 2 1
27.9, 3.199, 25.2, 1 3 -2
34.0, 2.637, 43.8, 2 2 -3
34.2, 2.625, 21.3, 1 5 -1
36.6, 2.453, 24.5, 4 0 0

[7]
Structure and simulated powder X-ray diffraction pattern of CsPuCu2Cl6 (DFT lattice parameters and positions (PBE); λ = 1.5418 Å (Cu Kα)).
Kinematic intensities with the Lorentz-polarization factor, no thermal factor.

Cell and atoms:
Cell lengths 7.0402, 7.0402, 23.8565 Å; angles 90.00, 90.00, 120.00 degrees
Space group R-3 (No. 148, hexagonal axes)
Inequivalent atoms, fractional coordinates:
Cs (0.0000, 0.0000, 0.0000) x3
Pu (0.0000, 0.0000, 0.5000) x3
Cu (0.0000, 0.0000, 0.2313) x6
Cl (0.0046, 0.6236, 0.0963) x18

Top 8 peaks for 10° ≤ 2θ ≤ 90°, low angle first:
2θ (°), d_spacing, I_rel, index
16.3, 5.429, 31.3, 0 1 2
20.8, 4.263, 100.0, 1 0 4
25.3, 3.520, 37.8, 1 1 0
33.0, 2.714, 22.6, 0 2 4
33.5, 2.679, 22.5, 0 1 8
34.0, 2.636, 28.2, 2 -1 6
42.0, 2.150, 30.5, 3 -1 4
44.6, 2.032, 22.8, 3 0 0

[8]
Structure and simulated powder X-ray diffraction pattern of CsCuRhCl6 (DFT lattice parameters and positions (PBE); λ = 1.5418 Å (Cu Kα)).
Kinematic intensities with the Lorentz-polarization factor, no thermal factor.

Cell and atoms:
Cell lengths 6.3140, 6.3140, 7.8690 Å; angles 90.00, 90.00, 120.00 degrees
Space group P312 (No. 149)
Inequivalent atoms, fractional coordinates:
Cs (0.0000, 0.0000, 0.0000) x1
Cu (0.3333, 0.6667, 0.5000) x1
Rh (0.6667, 0.3333, 0.5000) x1
Cl (0.3719, 0.0127, 0.6697) x6

Top 8 peaks for 10° ≤ 2θ ≤ 90°, low angle first:
2θ (°), d_spacing, I_rel, index
11.2, 7.869, 28.5, 0 0 1
19.8, 4.490, 100.0, 1 0 1
30.5, 2.930, 15.7, 1 1 1
34.7, 2.583, 16.4, 2 0 1
36.5, 2.462, 57.9, 2 -1 2
45.4, 1.999, 20.4, 3 -1 1
50.0, 1.823, 17.4, 3 0 0
55.0, 1.670, 16.1, 1 1 4